(1)
For Ca9Mn4Bi9, the PBE geometry in the Materials Project gives the computed X-ray diffraction stick pattern in this record (Cu Kα X-rays).
Lines closer than 0.1° are merged.

Main lines, most intense first (5 to 70 degrees two-theta):
2θ = 24.3°, rel. 100
2θ = 23.8°, rel. 92
2θ = 23.2°, rel. 67
2θ = 45.4°, rel. 63
2θ = 37.7°, rel. 57
2θ = 30.8°, rel. 46
2θ = 43.2°, rel. 36
2θ = 29.4°, rel. 34
2θ = 31.2°, rel. 32
2θ = 28.6°, rel. 31

Structural model:
```
data_Ca9Mn4Bi9
_space_group_name_H-M_alt 'P b a m'
_space_group_IT_number 55
_space_group_name_Hall '-P 2 2ab'
_cell_length_a 12.608
_cell_length_b 22.428
_cell_length_c 4.768
_cell_angle_alpha 90.00
_cell_angle_beta 90.00
_cell_angle_gamma 90.00
loop_
_atom_site_label
_atom_site_fract_x
_atom_site_fract_y
_atom_site_fract_z
Ca1 0.000 0.000 0.000
Ca2 0.062 0.409 0.500
Ca3 0.119 0.235 0.500
Ca4 0.137 0.862 0.500
Ca5 0.216 0.604 0.000
Mn1 0.116 0.761 0.000
Mn2 0.221 0.455 0.000
Bi1 0.000 0.500 0.000
Bi2 0.037 0.147 0.000
Bi3 0.124 0.694 0.500
Bi4 0.186 0.331 0.000
Bi5 0.197 0.005 0.500
```

=====

(2)
For Ho2TlHg, the PBE geometry in the Materials Project gives the computed X-ray diffraction stick pattern in this record (Cu Kα X-rays).
Lines closer than 0.1° are merged.

Main lines, most intense first (5 to 70 degrees two-theta):
2θ = 33.8°, rel. 100
2θ = 60.5°, rel. 38
2θ = 48.6°, rel. 18
2θ = 23.8°, rel. 1
2θ = 54.8°, rel. 1

Structural model:
```
data_Ho2TlHg
_space_group_name_H-M_alt 'F m -3 m'
_space_group_IT_number 225
_space_group_name_Hall '-F 4 2 3'
_cell_length_a 7.493
_cell_length_b 7.493
_cell_length_c 7.493
_cell_angle_alpha 90.00
_cell_angle_beta 90.00
_cell_angle_gamma 90.00
loop_
_atom_site_label
_atom_site_fract_x
_atom_site_fract_y
_atom_site_fract_z
Ho1 0.250 0.250 0.250
Tl1 0.000 0.000 0.000
Hg1 0.000 0.000 0.500
```

=====

(3)
For GaNCl4, the PBE geometry in the Materials Project gives the computed X-ray diffraction stick pattern in this record (Cu Kα X-rays).
Lines closer than 0.1° are merged.

Main lines, most intense first (5 to 70 degrees two-theta):
2θ = 15.3°, rel. 100
2θ = 18.2°, rel. 64
2θ = 23.6°, rel. 61
2θ = 27.5°, rel. 49
2θ = 51.7°, rel. 39
2θ = 39.0°, rel. 35
2θ = 38.4°, rel. 33
2θ = 33.0°, rel. 32
2θ = 22.0°, rel. 29
2θ = 24.3°, rel. 27

Structural model:
```
data_GaNCl4
_space_group_name_H-M_alt 'P n m a'
_space_group_IT_number 62
_space_group_name_Hall '-P 2ac 2n'
_cell_length_a 11.308
_cell_length_b 7.244
_cell_length_c 9.604
_cell_angle_alpha 90.00
_cell_angle_beta 90.00
_cell_angle_gamma 90.00
loop_
_atom_site_label
_atom_site_fract_x
_atom_site_fract_y
_atom_site_fract_z
Ga1 0.066 0.250 0.189
N1 0.184 0.250 0.676
Cl1 0.076 0.005 0.325
Cl2 0.102 0.750 0.925
Cl3 0.221 0.250 0.050
```

=====

(4)
For ThUCu4Si4, the PBE geometry in the Materials Project gives the computed X-ray diffraction stick pattern in this record (Cu Kα X-rays).
Lines closer than 0.1° are merged.

Main lines, most intense first (5 to 70 degrees two-theta):
2θ = 36.2°, rel. 100
2θ = 23.7°, rel. 59
2θ = 35.0°, rel. 47
2θ = 51.3°, rel. 34
2θ = 44.8°, rel. 31
2θ = 65.2°, rel. 24
2θ = 58.1°, rel. 22
2θ = 58.9°, rel. 15
2θ = 31.3°, rel. 10
2θ = 17.9°, rel. 7

Structural model:
```
data_ThUCu4Si4
_space_group_name_H-M_alt 'P 4/m m m'
_space_group_IT_number 123
_space_group_name_Hall '-P 4 2'
_cell_length_a 4.047
_cell_length_b 4.047
_cell_length_c 9.924
_cell_angle_alpha 90.00
_cell_angle_beta 90.00
_cell_angle_gamma 90.00
loop_
_atom_site_label
_atom_site_fract_x
_atom_site_fract_y
_atom_site_fract_z
Th1 0.000 0.000 0.000
U1 0.500 0.500 0.500
Cu1 0.000 0.500 0.252
Si1 0.000 0.000 0.383
Si2 0.500 0.500 0.122
```

=====

(5)
For Ba4Zn4B14Pb2O31, the PBE geometry in the Materials Project gives the computed X-ray diffraction stick pattern in this record (Cu Kα X-rays).
Lines closer than 0.1° are merged.

Main lines, most intense first (5 to 70 degrees two-theta):
2θ = 27.7°, rel. 100
2θ = 25.2°, rel. 72
2θ = 5.5°, rel. 64
2θ = 26.5°, rel. 44
2θ = 38.7°, rel. 39
2θ = 26.9°, rel. 38
2θ = 25.8°, rel. 36
2θ = 20.1°, rel. 34
2θ = 28.8°, rel. 33
2θ = 29.0°, rel. 33

Structural model:
```
data_Ba4Zn4B14Pb2O31
_space_group_name_H-M_alt 'P 1'
_space_group_IT_number 1
_space_group_name_Hall 'P 1'
_cell_length_a 7.111
_cell_length_b 7.142
_cell_length_c 16.401
_cell_angle_alpha 79.39
_cell_angle_beta 83.01
_cell_angle_gamma 60.39
loop_
_atom_site_label
_atom_site_fract_x
_atom_site_fract_y
_atom_site_fract_z
Ba1 0.000 0.000 0.000
Ba2 0.015 0.567 0.250
Ba3 0.279 0.416 0.838
Ba4 0.746 0.149 0.402
Zn1 0.065 0.477 0.471
Zn2 0.350 0.285 0.076
Zn3 0.661 0.285 0.174
Zn4 0.956 0.090 0.781
B1 0.117 0.537 0.631
B2 0.126 0.967 0.215
B3 0.241 0.767 0.418
B4 0.359 0.043 0.425
B5 0.375 0.084 0.263
B6 0.390 0.918 0.827
B7 0.502 0.870 0.016
B8 0.510 0.698 0.234
B9 0.627 0.647 0.425
B10 0.639 0.484 0.987
B11 0.658 0.526 0.825
B12 0.777 0.800 0.832
B13 0.886 0.601 0.036
B14 0.938 0.956 0.623
Pb1 0.430 0.032 0.616
Pb2 0.679 0.437 0.625
O1 0.076 0.566 0.063
O2 0.083 0.726 0.402
O3 0.087 0.738 0.646
O4 0.154 0.112 0.250
O5 0.186 0.083 0.838
O6 0.192 0.969 0.434
O7 0.304 0.359 0.663
O8 0.304 0.758 0.208
O9 0.323 0.189 0.485
O10 0.336 0.077 0.018
O11 0.366 0.158 0.342
O12 0.407 0.235 0.197
O13 0.438 0.722 0.807
O14 0.458 0.600 0.419
O15 0.468 0.718 0.989
O16 0.545 0.851 0.261
O17 0.559 0.966 0.833
O18 0.580 0.846 0.442
O19 0.605 0.334 0.053
O20 0.649 0.411 0.908
O21 0.675 0.491 0.233
O22 0.696 0.379 0.766
O23 0.708 0.812 0.042
O24 0.762 0.042 0.575
O25 0.826 0.598 0.816
O26 0.831 0.478 0.418
O27 0.859 0.456 0.001
O28 0.934 0.002 0.190
O29 0.937 0.840 0.847
O30 0.970 0.527 0.588
O31 0.978 0.099 0.657
```

=====

(6)
For CaO, the PBE geometry in the Materials Project gives the computed X-ray diffraction stick pattern in this record (Cu Kα X-rays).
Lines closer than 0.1° are merged.

Main lines, most intense first (5 to 70 degrees two-theta):
2θ = 25.7°, rel. 100
2θ = 45.3°, rel. 72
2θ = 31.8°, rel. 60
2θ = 60.1°, rel. 54
2θ = 37.3°, rel. 45
2θ = 45.9°, rel. 35
2θ = 56.4°, rel. 12
2θ = 52.8°, rel. 11
2θ = 66.4°, rel. 10
2θ = 63.9°, rel. 8

Structural model:
```
data_CaO
_space_group_name_H-M_alt 'P 63/m m c'
_space_group_IT_number 194
_space_group_name_Hall '-P 6c 2c'
_cell_length_a 4.0075
_cell_length_b 4.0075
_cell_length_c 4.8177
_cell_angle_alpha 90.00
_cell_angle_beta 90.00
_cell_angle_gamma 120.00
loop_
_atom_site_label
_atom_site_fract_x
_atom_site_fract_y
_atom_site_fract_z
Ca1 0.3333 0.6667 0.2500
O1 0.3333 0.6667 0.7500
```